# 1
Simulated powder diffractogram
Compound: NaLiAs2S4
Radiation: Cu Kα X-rays
Structure: DFT lattice parameters and positions (GGA-PBE)
Peak positions follow from Bragg's law for the DFT cell and can differ from measured ones.

Crystal structure
a = 5.5377 Å, b = 5.6754 Å, c = 6.7299 Å
α = 67.06°, β = 68.83°, γ = 89.85°
Space group P1 (No. 1)
Symmetry-distinct sites (fractional):
Na 0.0000 0.0000 0.0000
Li 0.4997 0.4776 0.0034
As 0.3232 0.7367 0.4336
As 0.8255 0.3128 0.4298
S 0.2239 0.3081 0.4874
S 0.4789 0.9490 0.0501
S 0.7016 0.6654 0.5262
S 0.9707 0.4791 0.0458

Peak list (10 most intense, 10 to 80 degrees two-theta, low angle first)
- 2θ 15.54, I = 100
- 2θ 17.73, I = 23
- 2θ 22.46, I = 75
- 2θ 26.49, I = 26
- 2θ 31.37, I = 62
- 2θ 31.55, I = 71
- 2θ 32.39, I = 73
- 2θ 44.20, I = 28
- 2θ 45.85, I = 41
- 2θ 47.15, I = 24

***

# 2
Simulated powder diffractogram
Compound: Mg2Al3Si6O18
Radiation: Cu Kα X-rays
Structure: DFT lattice parameters and positions (GGA-PBE)
Peak positions follow from Bragg's law for the DFT cell and can differ from measured ones.

Crystal structure
a = 9.9194 Å, b = 16.0224 Å, c = 10.2755 Å
α = 90.00°, β = 90.00°, γ = 90.00°
Space group Cccm (No. 66)
Symmetry-distinct sites (fractional):
Mg 0.0000 0.2042 0.2500
Al 0.0000 0.0000 0.2500
Al 0.2500 0.2500 0.2382
Si 0.0778 0.2875 0.5000
Si 0.2189 0.0592 0.5000
Si 0.2465 0.1350 0.0000
O 0.0978 0.3116 0.0000
O 0.0981 0.3160 0.1883
O 0.1291 0.2272 0.3811
O 0.1477 0.3803 0.5000
O 0.1622 0.1594 0.1330
O 0.2164 0.4651 0.0000

Peak list (10 most intense, 10 to 80 degrees two-theta, low angle first)
- 2θ 11.04, I = 100
- 2θ 17.26, I = 7
- 2θ 17.88, I = 7
- 2θ 20.24, I = 7
- 2θ 20.54, I = 8
- 2θ 24.95, I = 12
- 2θ 27.36, I = 14
- 2θ 28.25, I = 6
- 2θ 30.58, I = 14
- 2θ 34.93, I = 8

***

# 3
Simulated powder diffractogram
Compound: NdB2C2
Radiation: Cu Kα X-rays
Structure: DFT lattice parameters and positions (GGA-PBE)
Peak positions follow from Bragg's law for the DFT cell and can differ from measured ones.

Crystal structure
a = 3.8260 Å, b = 3.8260 Å, c = 7.6898 Å
α = 90.00°, β = 90.00°, γ = 90.00°
Space group P4_2/mmc (No. 131)
Symmetry-distinct sites (fractional):
Nd 0.0000 0.0000 0.2500
B 0.2163 0.5000 0.0000
C 0.1870 0.5000 0.5000

Peak list (10 most intense, 10 to 80 degrees two-theta, low angle first)
- 2θ 23.13, I = 19
- 2θ 23.25, I = 61
- 2θ 33.05, I = 100
- 2θ 40.78, I = 40
- 2θ 47.53, I = 12
- 2θ 53.33, I = 14
- 2θ 53.53, I = 35
- 2θ 59.10, I = 18
- 2θ 74.19, I = 15
- 2θ 79.14, I = 12

***

# 4
Simulated powder diffractogram
Compound: LiAlO2
Radiation: Cu Kα X-rays
Structure: DFT lattice parameters and positions (GGA-PBE)
Peak positions follow from Bragg's law for the DFT cell and can differ from measured ones.

Crystal structure
a = 5.2301 Å, b = 5.2301 Å, c = 6.3267 Å
α = 90.00°, β = 90.00°, γ = 90.00°
Space group P4_12_12 (No. 92)
Symmetry-distinct sites (fractional):
Li 0.1861 0.1861 0.0000
Al 0.1767 0.1767 0.5000
O 0.1619 0.7909 0.9774

Peak list (10 most intense, 10 to 80 degrees two-theta, low angle first)
- 2θ 22.05, I = 100
- 2θ 24.06, I = 14
- 2θ 27.94, I = 23
- 2θ 33.10, I = 70
- 2θ 34.29, I = 78
- 2θ 48.40, I = 19
- 2θ 58.34, I = 14
- 2θ 60.65, I = 46
- 2θ 69.45, I = 12
- 2θ 71.56, I = 22

***

# 5
Simulated powder diffractogram
Compound: Ca5As3ClO12
Radiation: Cu Kα X-rays
Structure: DFT lattice parameters and positions (GGA-PBE)
Peak positions follow from Bragg's law for the DFT cell and can differ from measured ones.

Crystal structure
a = 10.2573 Å, b = 10.2573 Å, c = 6.8758 Å
α = 90.00°, β = 90.00°, γ = 120.00°
Space group P6_3 (No. 173)
Symmetry-distinct sites (fractional):
Ca 0.0239 0.2716 0.0000
Ca 0.3333 0.6667 0.2550
Ca 0.3333 0.6667 0.7463
As 0.0297 0.6207 0.0011
Cl 0.0000 0.0000 0.1199
O 0.0893 0.7400 0.8029
O 0.0903 0.7387 0.2003
O 0.1399 0.5349 0.0004
O 0.1575 0.5101 0.5008

Peak list (10 most intense, 10 to 80 degrees two-theta, low angle first)
- 2θ 21.62, I = 38
- 2θ 25.92, I = 34
- 2θ 29.61, I = 100
- 2θ 30.18, I = 66
- 2θ 31.32, I = 45
- 2θ 32.95, I = 34
- 2θ 38.83, I = 31
- 2θ 44.06, I = 21
- 2θ 48.07, I = 28
- 2θ 52.18, I = 24

***

# 6
Simulated powder diffractogram
Compound: Ce5AgSe8
Radiation: Cu Kα X-rays
Structure: DFT lattice parameters and positions (GGA-PBE)
Peak positions follow from Bragg's law for the DFT cell and can differ from measured ones.

Crystal structure
a = 8.8479 Å, b = 8.8479 Å, c = 9.0240 Å
α = 90.00°, β = 90.00°, γ = 90.00°
Space group I-4 (No. 82)
Symmetry-distinct sites (fractional):
Ce 0.0000 0.0000 0.0000
Ce 0.1297 0.2496 0.6176
Ag 0.0000 0.5000 0.2500
Se 0.0685 0.1801 0.2951
Se 0.0790 0.3187 0.9356

Peak list (10 most intense, 10 to 80 degrees two-theta, low angle first)
- 2θ 24.32, I = 13
- 2θ 24.57, I = 22
- 2θ 31.41, I = 49
- 2θ 31.96, I = 100
- 2θ 37.56, I = 34
- 2θ 37.84, I = 30
- 2θ 38.00, I = 29
- 2θ 45.11, I = 12
- 2θ 47.84, I = 17
- 2θ 64.94, I = 13

***

# 7
Simulated powder diffractogram
Compound: TbHg2
Radiation: Cu Kα X-rays
Structure: DFT lattice parameters and positions (GGA-PBE)
Peak positions follow from Bragg's law for the DFT cell and can differ from measured ones.

Crystal structure
a = 9.6772 Å, b = 4.3530 Å, c = 3.7026 Å
α = 90.00°, β = 102.86°, γ = 90.00°
Space group C2/m (No. 12)
Symmetry-distinct sites (fractional):
Tb 0.0000 0.0000 0.0000
Hg 0.1679 0.5000 0.6395

Peak list (10 most intense, 10 to 80 degrees two-theta, low angle first)
- 2θ 31.98, I = 100
- 2θ 34.48, I = 41
- 2θ 35.21, I = 80
- 2θ 40.78, I = 26
- 2θ 41.49, I = 25
- 2θ 55.02, I = 22
- 2θ 58.13, I = 18
- 2θ 59.58, I = 17
- 2θ 64.25, I = 14
- 2θ 66.83, I = 23